No. 1
Computed XRD peak list
Compound: Y5Si2B8
Radiation: copper Kα
Structure: a DFT-relaxed cell (PBE, Alexandria)
Intensities are scaled so that the largest is 100.

Structural model:
```
Y5Si2B8
1.0
7.243 0.000 0.000
0.000 7.243 0.000
0.000 0.000 8.113
Y Si B
10 4 16
Direct
0.000 0.000 0.000
0.181 0.319 0.276
0.181 0.319 0.724
0.319 0.819 0.276
0.319 0.819 0.724
0.500 0.500 0.000
0.681 0.181 0.276
0.681 0.181 0.724
0.819 0.681 0.276
0.819 0.681 0.724
0.115 0.615 0.000
0.385 0.115 0.000
0.615 0.885 0.000
0.885 0.385 0.000
0.000 0.000 0.338
0.000 0.000 0.662
0.039 0.828 0.500
0.090 0.590 0.500
0.172 0.039 0.500
0.328 0.539 0.500
0.410 0.090 0.500
0.461 0.328 0.500
0.500 0.500 0.338
0.500 0.500 0.662
0.539 0.672 0.500
0.590 0.910 0.500
0.672 0.461 0.500
0.828 0.961 0.500
0.910 0.410 0.500
0.961 0.172 0.500
```

Main lines, low angle first (10° ≤ 2θ ≤ 90°):
- 26.96°, I = 16
- 27.54°, I = 48
- 33.16°, I = 92
- 35.04°, I = 19
- 35.46°, I = 100
- 39.34°, I = 33
- 44.68°, I = 17
- 52.06°, I = 24
- 57.14°, I = 25
- 58.67°, I = 18

=====

No. 2
Computed XRD peak list
Compound: Zn2CuNi5Ge2
Radiation: copper Kα
Structure: a DFT-relaxed cell (PBE, Alexandria)
Intensities are scaled so that the largest is 100.

Structural model:
```
Zn2CuNi5Ge2
1.0
8.542 0.000 0.000
0.000 8.542 0.000
0.000 0.000 3.555
Zn Cu Ni Ge
4 2 10 4
Direct
0.168 0.332 0.000
0.332 0.832 0.000
0.668 0.168 0.000
0.832 0.668 0.000
0.000 0.000 0.000
0.500 0.500 0.000
0.000 0.500 0.500
0.075 0.805 0.500
0.195 0.075 0.500
0.305 0.575 0.500
0.425 0.305 0.500
0.500 0.000 0.500
0.575 0.695 0.500
0.695 0.425 0.500
0.805 0.925 0.500
0.925 0.195 0.500
0.132 0.632 0.000
0.368 0.132 0.000
0.632 0.868 0.000
0.868 0.368 0.000
```

Main lines, low angle first (10° ≤ 2θ ≤ 90°):
- 23.28°, I = 7
- 39.14°, I = 11
- 42.01°, I = 100
- 43.69°, I = 22
- 45.02°, I = 10
- 46.04°, I = 29
- 47.61°, I = 12
- 49.81°, I = 8
- 51.41°, I = 22
- 69.69°, I = 12

=====

No. 3
Computed XRD peak list
Compound: Ac2Pr5Ho2
Radiation: copper Kα
Structure: a DFT-relaxed cell (PBE, Alexandria)
Intensities are scaled so that the largest is 100.

Structural model:
```
Ac2Pr5Ho2
1.0
7.944 -2.631 0.000
7.944 2.631 0.000
-2.659 0.000 7.921
Ac Pr Ho
2 5 2
Direct
0.111 0.111 0.169
0.889 0.889 0.831
0.000 0.000 0.500
0.219 0.219 0.833
0.335 0.335 0.495
0.665 0.665 0.505
0.781 0.781 0.167
0.443 0.443 0.169
0.557 0.557 0.831
```

Main lines, low angle first (10° ≤ 2θ ≤ 90°):
- 29.30°, I = 100
- 33.90°, I = 34
- 34.07°, I = 17
- 48.70°, I = 12
- 48.83°, I = 25
- 57.79°, I = 15
- 57.92°, I = 15
- 58.08°, I = 15
- 60.77°, I = 13
- 79.02°, I = 6

=====

No. 4
Computed XRD peak list
Compound: Ce4PaIn5
Radiation: copper Kα
Structure: a DFT-relaxed cell (PBE, Alexandria)
Intensities are scaled so that the largest is 100.

Structural model:
```
Ce4PaIn5
1.0
3.291 0.000 0.000
0.000 3.291 0.000
0.000 0.000 24.230
Ce Pa In
4 1 5
Direct
0.000 0.000 0.101
0.000 0.000 0.302
0.000 0.000 0.698
0.000 0.000 0.899
0.000 0.000 0.500
0.500 0.500 0.000
0.500 0.500 0.201
0.500 0.500 0.402
0.500 0.500 0.598
0.500 0.500 0.799
```

Main lines, low angle first (10° ≤ 2θ ≤ 90°):
- 18.31°, I = 2
- 32.90°, I = 100
- 37.10°, I = 18
- 38.69°, I = 32
- 54.68°, I = 23
- 55.87°, I = 11
- 64.23°, I = 14
- 66.37°, I = 26
- 68.98°, I = 11
- 82.98°, I = 4